Theoretical X-ray powder pattern of AcDy4Ga4 for Cu Kα (weighted mean of Kα1 and Kα2), from the GGA-PBE geometry in Alexandria.

Cell and atoms:
Lattice parameters (Å, degrees): 9.4789 9.4789 5.8898 90.00 90.00 90.00
Positions (direct):
Ac (0.2500, 0.2500, 0.2500)
Ac (0.7500, 0.7500, 0.7500)
Dy (0.0873, 0.6499, 0.1333)
Dy (0.1499, 0.9127, 0.6333)
Dy (0.3501, 0.5873, 0.6333)
Dy (0.4127, 0.8501, 0.1333)
Dy (0.5873, 0.1499, 0.8667)
Dy (0.6499, 0.4127, 0.3667)
Dy (0.8501, 0.0873, 0.3667)
Dy (0.9127, 0.3501, 0.8667)
Ga (0.0408, 0.6004, 0.6331)
Ga (0.1004, 0.9592, 0.1331)
Ga (0.3996, 0.5408, 0.1331)
Ga (0.4592, 0.8996, 0.6331)
Ga (0.5408, 0.1004, 0.3669)
Ga (0.6004, 0.4592, 0.8669)
Ga (0.8996, 0.0408, 0.8669)
Ga (0.9592, 0.3996, 0.3669)

Top 10 peaks for 2θ = 5–70°, in order of rising 2θ:
- d 5.003, rel. 23
- d 3.441, rel. 63
- d 2.997, rel. 100
- d 2.812, rel. 47
- d 2.401, rel. 22
- d 2.154, rel. 32
- d 2.120, rel. 27
- d 1.961, rel. 16
- d 1.812, rel. 17
- d 1.805, rel. 18


Theoretical X-ray powder pattern of AcDyGeIr for Cu Kα (weighted mean of Kα1 and Kα2), from the GGA-PBE geometry in Alexandria.

Cell and atoms:
Lattice parameters (Å, degrees): 4.6886 4.6886 10.2680 90.00 90.00 90.00
Positions (direct):
Ac (0.2500, 0.2500, 0.1862)
Ac (0.7500, 0.7500, 0.8138)
Dy (0.2500, 0.7500, 0.5000)
Dy (0.7500, 0.2500, 0.5000)
Ge (0.2500, 0.2500, 0.8881)
Ge (0.7500, 0.7500, 0.1119)
Ir (0.2500, 0.2500, 0.6554)
Ir (0.7500, 0.7500, 0.3446)

Top 10 peaks for 2θ = 5–70°, in order of rising 2θ:
- d 10.268, rel. 55
- d 3.462, rel. 85
- d 3.315, rel. 60
- d 3.155, rel. 40
- d 2.785, rel. 100
- d 2.344, rel. 94
- d 2.252, rel. 57
- d 2.030, rel. 41
- d 1.941, rel. 35
- d 1.624, rel. 42


Theoretical X-ray powder pattern of AcDyGeO5 for Cu Kα (weighted mean of Kα1 and Kα2), from the GGA-PBE geometry in Alexandria.

Cell and atoms:
Lattice parameters (Å, degrees): 6.0750 6.0750 7.6639 102.07 102.07 107.88
Positions (direct):
Ac (0.1669, 0.8331, 0.7500)
Ac (0.8331, 0.1669, 0.2500)
Dy (0.5000, 0.5000, 0.0000)
Dy (0.5000, 0.5000, 0.5000)
Ge (0.1786, 0.8214, 0.2500)
Ge (0.8214, 0.1786, 0.7500)
O (0.0991, 0.2322, 0.9189)
O (0.1713, 0.6007, 0.3736)
O (0.2322, 0.0991, 0.4189)
O (0.3993, 0.8287, 0.1264)
O (0.4009, 0.5991, 0.7500)
O (0.5991, 0.4009, 0.2500)
O (0.6007, 0.1713, 0.8736)
O (0.7678, 0.9009, 0.5811)
O (0.8287, 0.3993, 0.6264)
O (0.9009, 0.7678, 0.0811)

Top 10 peaks for 2θ = 5–70°, in order of rising 2θ:
- d 5.172, rel. 28
- d 3.514, rel. 83
- d 3.343, rel. 81
- d 2.940, rel. 100
- d 2.894, rel. 56
- d 2.669, rel. 27
- d 2.586, rel. 28
- d 2.233, rel. 25
- d 1.842, rel. 32
- d 1.648, rel. 22


Theoretical X-ray powder pattern of AcDy2Hg4 for Cu Kα (weighted mean of Kα1 and Kα2), from the GGA-PBE geometry in Alexandria.

Cell and atoms:
Lattice parameters (Å, degrees): 6.6486 6.6486 5.2025 90.00 90.00 113.41
Positions (direct):
Ac (0.0000, 0.0000, 0.0000)
Dy (0.2603, 0.7397, 0.5000)
Dy (0.7397, 0.2603, 0.5000)
Hg (0.0000, 0.5000, 0.0000)
Hg (0.2850, 0.2850, 0.5000)
Hg (0.5000, 0.0000, 0.0000)
Hg (0.7150, 0.7150, 0.5000)

Top 10 peaks for 2θ = 5–70°, in order of rising 2θ:
- d 3.959, rel. 18
- d 2.779, rel. 30
- d 2.632, rel. 100
- d 2.601, rel. 26
- d 1.899, rel. 20
- d 1.825, rel. 7
- d 1.574, rel. 21
- d 1.525, rel. 8
- d 1.508, rel. 19
- d 1.494, rel. 8


Theoretical X-ray powder pattern of AcDy3Hg2 for Cu Kα (weighted mean of Kα1 and Kα2), from the GGA-PBE geometry in Alexandria.

Cell and atoms:
Lattice parameters (Å, degrees): 3.7525 3.7525 12.6313 90.00 90.00 90.00
Positions (direct):
Ac (0.0000, 0.0000, 0.0000)
Dy (0.5000, 0.5000, 0.2112)
Dy (0.5000, 0.5000, 0.5000)
Dy (0.5000, 0.5000, 0.7888)
Hg (0.0000, 0.0000, 0.3536)
Hg (0.0000, 0.0000, 0.6464)

Top 10 peaks for 2θ = 5–70°, in order of rising 2θ:
- d 12.631, rel. 9
- d 3.226, rel. 9
- d 2.801, rel. 100
- d 2.653, rel. 56
- d 2.416, rel. 15
- d 1.876, rel. 21
- d 1.649, rel. 9
- d 1.559, rel. 35
- d 1.492, rel. 7
- d 1.482, rel. 7


Theoretical X-ray powder pattern of Ac3Dy2Hg3 for Cu Kα (weighted mean of Kα1 and Kα2), from the GGA-PBE geometry in Alexandria.

Cell and atoms:
Lattice parameters (Å, degrees): 12.1944 12.1944 12.1944 161.42 153.00 32.97
Positions (direct):
Ac (0.0000, 0.0000, 0.0000)
Ac (0.3763, 0.8763, 0.5000)
Ac (0.6237, 0.1237, 0.5000)
Dy (0.2341, 0.2341, 0.0000)
Dy (0.7659, 0.7659, 0.0000)
Hg (0.1306, 0.6306, 0.5000)
Hg (0.5000, 0.5000, 0.0000)
Hg (0.8694, 0.3694, 0.5000)

Top 10 peaks for 2θ = 5–70°, in order of rising 2θ:
- d 2.923, rel. 24
- d 2.846, rel. 26
- d 2.833, rel. 100
- d 2.039, rel. 18
- d 1.968, rel. 9
- d 1.670, rel. 17
- d 1.641, rel. 20
- d 1.633, rel. 9
- d 1.619, rel. 10
- d 1.416, rel. 12


Theoretical X-ray powder pattern of Ac2Dy12Hg7 for Cu Kα (weighted mean of Kα1 and Kα2), from the GGA-PBE geometry in Alexandria.

Cell and atoms:
Lattice parameters (Å, degrees): 13.9033 13.9033 3.7211 90.00 90.00 120.00
Positions (direct):
Ac (0.0000, 0.0000, 0.0000)
Ac (0.3333, 0.6667, 0.5000)
Dy (0.0346, 0.2655, 0.5000)
Dy (0.0956, 0.7027, 0.0000)
Dy (0.2309, 0.9654, 0.5000)
Dy (0.2973, 0.3930, 0.0000)
Dy (0.4364, 0.2239, 0.0000)
Dy (0.5295, 0.0712, 0.5000)
Dy (0.5417, 0.4705, 0.5000)
Dy (0.6070, 0.9044, 0.0000)
Dy (0.7345, 0.7691, 0.5000)
Dy (0.7761, 0.2125, 0.0000)
Dy (0.7875, 0.5636, 0.0000)
Dy (0.9288, 0.4583, 0.5000)
Hg (0.1180, 0.4728, 0.0000)
Hg (0.2282, 0.1905, 0.5000)
Hg (0.3548, 0.8820, 0.0000)
Hg (0.5272, 0.6452, 0.0000)
Hg (0.6667, 0.3333, 0.5000)
Hg (0.8095, 0.0377, 0.5000)
Hg (0.9624, 0.7718, 0.5000)

Top 10 peaks for 2θ = 5–70°, in order of rising 2θ:
- d 3.010, rel. 11
- d 2.881, rel. 100
- d 2.762, rel. 29
- d 2.729, rel. 18
- d 2.627, rel. 47
- d 2.540, rel. 10
- d 2.485, rel. 24
- d 1.861, rel. 15
- d 1.543, rel. 12
- d 1.518, rel. 22


Theoretical X-ray powder pattern of AcDy2Hg2 for Cu Kα (weighted mean of Kα1 and Kα2), from the GGA-PBE geometry in Alexandria.

Cell and atoms:
Lattice parameters (Å, degrees): 10.7644 10.7644 3.8327 90.00 90.00 159.40
Positions (direct):
Ac (0.0000, 0.0000, 0.0000)
Dy (0.1802, 0.8198, 0.0000)
Dy (0.8198, 0.1802, 0.0000)
Hg (0.3924, 0.6076, 0.5000)
Hg (0.6076, 0.3924, 0.5000)

Top 10 peaks for 2θ = 5–70°, in order of rising 2θ:
- d 3.105, rel. 45
- d 2.849, rel. 98
- d 2.694, rel. 100
- d 2.597, rel. 56
- d 1.925, rel. 19
- d 1.916, rel. 19
- d 1.636, rel. 14
- d 1.590, rel. 35
- d 1.571, rel. 22
- d 1.546, rel. 24


Theoretical X-ray powder pattern of LiAc2DyHg6 for Cu Kα (weighted mean of Kα1 and Kα2), from the GGA-PBE geometry in Alexandria.

Cell and atoms:
Lattice parameters (Å, degrees): 6.5403 6.9972 7.1517 71.76 67.13 82.44
Positions (direct):
Li (0.0000, 0.0000, 0.0000)
Ac (0.3090, 0.2056, 0.1736)
Ac (0.6910, 0.7944, 0.8264)
Dy (0.5000, 0.5000, 0.5000)
Hg (0.1314, 0.6963, 0.3253)
Hg (0.1938, 0.6470, 0.8765)
Hg (0.3181, 0.0888, 0.6567)
Hg (0.6819, 0.9112, 0.3433)
Hg (0.8062, 0.3530, 0.1235)
Hg (0.8686, 0.3037, 0.6747)

Top 10 peaks for 2θ = 5–70°, in order of rising 2θ:
- d 3.234, rel. 100
- d 3.013, rel. 18
- d 2.924, rel. 61
- d 2.743, rel. 62
- d 2.732, rel. 42
- d 2.579, rel. 17
- d 2.563, rel. 26
- d 2.151, rel. 21
- d 2.058, rel. 31
- d 1.945, rel. 17


Theoretical X-ray powder pattern of AcDyHgO4 for Cu Kα (weighted mean of Kα1 and Kα2), from the GGA-PBE geometry in Alexandria.

Cell and atoms:
Lattice parameters (Å, degrees): 7.1784 7.1784 7.1784 122.13 117.06 90.76
Positions (direct):
Ac (0.0000, 0.0000, 0.0000)
Ac (0.5000, 0.0000, 0.5000)
Dy (0.5000, 0.0000, 0.0000)
Dy (0.5000, 0.5000, 0.5000)
Hg (0.1355, 0.3855, 0.7500)
Hg (0.8645, 0.6145, 0.2500)
O (0.2710, 0.2563, 0.4853)
O (0.2710, 0.7857, 0.0147)
O (0.2902, 0.2444, 0.0458)
O (0.3014, 0.7556, 0.5458)
O (0.6986, 0.2444, 0.4542)
O (0.7098, 0.7556, 0.9542)
O (0.7290, 0.2143, 0.9853)
O (0.7290, 0.7437, 0.5147)

Top 10 peaks for 2θ = 5–70°, in order of rising 2θ:
- d 3.584, rel. 41
- d 3.135, rel. 100
- d 3.067, rel. 36
- d 3.026, rel. 37
- d 3.008, rel. 83
- d 2.860, rel. 33
- d 1.988, rel. 21
- d 1.935, rel. 44
- d 1.874, rel. 17
- d 1.792, rel. 59